Structure and theoretical powder diffractogram of Tl3Cd3Sn8 (DFT lattice parameters and positions (GGA-PBE); Cu Ka).
No peak broadening, texture or thermal motion is included.

Principal peaks in the range 15 to 90 degrees two-theta, by angle:
29.00°, intensity 818; 30.56°, intensity 687; 30.71°, intensity 905; 31.94°, intensity 422; 32.81°, intensity 1000; 35.65°, intensity 770; 36.19°, intensity 682; 47.65°, intensity 443

Structural model:
abc: 9.281 9.281 9.281
angles: 148.51 102.09 86.44
Fractional coordinates of all 14 atoms:
1 Tl 0.000 0.000 0.000
2 Tl 0.275 0.275 0.000
3 Tl 0.725 0.725 0.000
4 Cd 0.364 0.500 0.864
5 Cd 0.500 0.000 0.500
6 Cd 0.636 0.500 0.136
7 Sn 0.011 0.372 0.639
8 Sn 0.144 0.850 0.294
9 Sn 0.267 0.628 0.639
10 Sn 0.443 0.150 0.294
11 Sn 0.557 0.850 0.706
12 Sn 0.733 0.372 0.361
13 Sn 0.856 0.150 0.706
14 Sn 0.989 0.628 0.361



Structure and theoretical powder diffractogram of TlCdSn2 (DFT lattice parameters and positions (GGA-PBE); Cu Ka).
No peak broadening, texture or thermal motion is included.

Principal peaks in the range 15 to 90 degrees two-theta, by angle:
29.29°, intensity 437; 31.89°, intensity 1000; 32.62°, intensity 323; 32.78°, intensity 456; 40.44°, intensity 305; 47.05°, intensity 284; 66.61°, intensity 211; 67.82°, intensity 233

Structural model:
abc: 3.176 3.271 10.927
angles: 90.00 90.00 90.00
Fractional coordinates of all 4 atoms:
1 Tl 0.000 0.000 0.000
2 Cd 0.500 0.000 0.500
3 Sn 0.500 0.500 0.260
4 Sn 0.500 0.500 0.740



Structure and theoretical powder diffractogram of Tl12Cd3Sn (DFT lattice parameters and positions (GGA-PBE); Cu Ka).
No peak broadening, texture or thermal motion is included.

Principal peaks in the range 15 to 90 degrees two-theta, by angle:
31.66°, intensity 1000; 35.39°, intensity 184; 37.36°, intensity 323; 52.41°, intensity 244; 61.21°, intensity 151; 63.84°, intensity 273; 66.12°, intensity 122; 85.91°, intensity 121

Structural model:
abc: 4.814 4.814 20.289
angles: 90.00 90.00 90.00
Fractional coordinates of all 16 atoms:
1 Tl 0.000 0.000 0.000
2 Tl 0.000 0.000 0.248
3 Tl 0.000 0.000 0.500
4 Tl 0.000 0.000 0.752
5 Tl 0.000 0.500 0.123
6 Tl 0.000 0.500 0.374
7 Tl 0.000 0.500 0.626
8 Tl 0.000 0.500 0.877
9 Tl 0.500 0.000 0.123
10 Tl 0.500 0.000 0.374
11 Tl 0.500 0.000 0.626
12 Tl 0.500 0.000 0.877
13 Cd 0.500 0.500 0.000
14 Cd 0.500 0.500 0.244
15 Cd 0.500 0.500 0.756
16 Sn 0.500 0.500 0.500



Structure and theoretical powder diffractogram of TlCd2Sn (DFT lattice parameters and positions (GGA-PBE); Cu Ka).
No peak broadening, texture or thermal motion is included.

Principal peaks in the range 15 to 90 degrees two-theta, by angle:
32.91°, intensity 1000; 37.59°, intensity 349; 39.34°, intensity 154; 54.21°, intensity 121; 55.54°, intensity 224; 64.89°, intensity 280; 67.27°, intensity 126; 69.01°, intensity 117

Structural model:
abc: 4.786 4.786 4.581
angles: 90.00 90.00 90.00
Fractional coordinates of all 4 atoms:
1 Tl 0.000 0.000 0.000
2 Cd 0.000 0.500 0.500
3 Cd 0.500 0.000 0.500
4 Sn 0.500 0.500 0.000



Structure and theoretical powder diffractogram of Tl16CdSn12 (DFT lattice parameters and positions (GGA-PBE); Cu Ka).
No peak broadening, texture or thermal motion is included.

Principal peaks in the range 15 to 90 degrees two-theta, by angle:
29.63°, intensity 149; 31.35°, intensity 970; 31.45°, intensity 857; 31.60°, intensity 1000; 34.79°, intensity 367; 55.82°, intensity 287; 55.94°, intensity 217; 56.08°, intensity 165

Structural model:
abc: 10.476 10.476 10.360
angles: 109.28 109.28 109.65
Fractional coordinates of all 29 atoms:
1 Tl 0.000 0.000 0.000
2 Tl 0.001 0.401 0.684
3 Tl 0.003 0.003 0.643
4 Tl 0.286 0.601 0.600
5 Tl 0.315 0.713 0.313
6 Tl 0.318 0.318 0.712
7 Tl 0.364 0.364 0.356
8 Tl 0.401 0.001 0.684
9 Tl 0.403 0.686 0.002
10 Tl 0.601 0.286 0.600
11 Tl 0.645 0.999 0.000
12 Tl 0.682 0.999 0.398
13 Tl 0.686 0.403 0.002
14 Tl 0.713 0.315 0.313
15 Tl 0.999 0.645 0.000
16 Tl 0.999 0.682 0.398
17 Cd 0.602 0.602 0.286
18 Sn 0.002 0.364 0.185
19 Sn 0.176 0.816 0.813
20 Sn 0.181 0.998 0.362
21 Sn 0.191 0.368 0.001
22 Sn 0.364 0.002 0.185
23 Sn 0.368 0.191 0.001
24 Sn 0.635 0.818 0.626
25 Sn 0.638 0.638 0.820
26 Sn 0.807 0.807 0.182
27 Sn 0.816 0.176 0.813
28 Sn 0.818 0.635 0.626
29 Sn 0.998 0.181 0.362



Structure and theoretical powder diffractogram of Tm3CdSn3 (DFT lattice parameters and positions (GGA-PBE); Cu Ka).
No peak broadening, texture or thermal motion is included.

Principal peaks in the range 15 to 90 degrees two-theta, by angle:
19.45°, intensity 459; 29.37°, intensity 597; 29.90°, intensity 197; 34.02°, intensity 1000; 35.47°, intensity 208; 45.55°, intensity 892; 60.90°, intensity 200; 71.65°, intensity 296

Structural model:
abc: 9.130 9.130 6.082
angles: 90.00 90.00 120.00
Fractional coordinates of all 14 atoms:
1 Tm 0.037 0.357 0.250
2 Tm 0.320 0.963 0.250
3 Tm 0.357 0.320 0.750
4 Tm 0.643 0.680 0.250
5 Tm 0.680 0.037 0.750
6 Tm 0.963 0.643 0.750
7 Cd 0.333 0.667 0.750
8 Cd 0.667 0.333 0.250
9 Sn 0.031 0.341 0.750
10 Sn 0.310 0.969 0.750
11 Sn 0.341 0.310 0.250
12 Sn 0.659 0.690 0.750
13 Sn 0.690 0.031 0.250
14 Sn 0.969 0.659 0.250



Structure and theoretical powder diffractogram of TmCdSn3 (DFT lattice parameters and positions (GGA-PBE); Cu Ka).
No peak broadening, texture or thermal motion is included.

Principal peaks in the range 15 to 90 degrees two-theta, by angle:
31.76°, intensity 1000; 34.33°, intensity 517; 34.92°, intensity 319; 35.37°, intensity 963; 40.86°, intensity 359; 54.40°, intensity 248; 68.71°, intensity 248; 70.85°, intensity 254

Structural model:
abc: 13.062 6.241 6.253
angles: 90.00 90.00 90.00
Fractional coordinates of all 20 atoms:
1 Tm 0.188 0.010 0.250
2 Tm 0.188 0.490 0.750
3 Tm 0.812 0.510 0.250
4 Tm 0.812 0.990 0.750
5 Cd 0.382 0.250 0.000
6 Cd 0.382 0.250 0.500
7 Cd 0.618 0.750 0.000
8 Cd 0.618 0.750 0.500
9 Sn 0.000 0.250 0.000
10 Sn 0.000 0.250 0.500
11 Sn 0.000 0.750 0.000
12 Sn 0.000 0.750 0.500
13 Sn 0.222 0.515 0.250
14 Sn 0.222 0.985 0.750
15 Sn 0.416 0.695 0.750
16 Sn 0.416 0.805 0.250
17 Sn 0.584 0.195 0.750
18 Sn 0.584 0.305 0.250
19 Sn 0.778 0.015 0.250
20 Sn 0.778 0.485 0.750



Structure and theoretical powder diffractogram of Y2CdSn4 (DFT lattice parameters and positions (GGA-PBE); Cu Ka).
No peak broadening, texture or thermal motion is included.

Principal peaks in the range 15 to 90 degrees two-theta, by angle:
27.30°, intensity 110; 29.83°, intensity 131; 34.02°, intensity 1000; 37.46°, intensity 121; 40.46°, intensity 364; 56.32°, intensity 148; 58.56°, intensity 123; 69.48°, intensity 254

Structural model:
abc: 4.459 4.459 9.602
angles: 90.00 90.00 90.00
Fractional coordinates of all 7 atoms:
1 Y 0.000 0.500 0.242
2 Y 0.500 0.000 0.758
3 Cd 0.500 0.500 0.000
4 Sn 0.000 0.000 0.500
5 Sn 0.000 0.500 0.806
6 Sn 0.500 0.000 0.194
7 Sn 0.500 0.500 0.500